[1]
The following is a calculated powder X-ray diffraction pattern of Nd2Co12P7. It was derived from a crystal structure in Alexandria, relaxed with GGA-PBE, using Cu Kα, 1.54184 Å.

Structure:
```
Nd2Co12P7
1.0
9.0814 0.0000 0.0000
-4.5407 7.8647 0.0000
0.0000 0.0000 3.6317
Nd Co P
2 12 7
Direct
0.0000 0.0000 0.0000
0.3333 0.6667 0.5000
0.0476 0.7648 0.5000
0.0984 0.3915 0.0000
0.2352 0.2828 0.5000
0.2931 0.9016 0.0000
0.3962 0.2140 0.0000
0.5387 0.1037 0.5000
0.5651 0.4613 0.5000
0.6085 0.7069 0.0000
0.7172 0.9524 0.5000
0.7860 0.1822 0.0000
0.8178 0.6038 0.0000
0.8963 0.4349 0.5000
0.0690 0.6280 0.0000
0.2691 0.0413 0.5000
0.3720 0.4410 0.0000
0.5590 0.9310 0.0000
0.6667 0.3333 0.0000
0.7722 0.7309 0.5000
0.9587 0.2278 0.5000
```

Largest 10 diffraction maxima, by intensity, 10 to 90 degrees two-theta:
| 2θ (°) | d [Å] | I (rel.) |
| --- | --- | --- |
| 39.16 | 2.300 | 100 |
| 50.24 | 1.816 | 17 |
| 53.38 | 1.716 | 16 |
| 76.35 | 1.247 | 11 |
| 30.06 | 2.973 | 10 |
| 27.04 | 3.297 | 10 |
| 56.99 | 1.616 | 10 |
| 34.20 | 2.622 | 10 |
| 48.70 | 1.870 | 9 |
| 86.88 | 1.121 | 9 |

---

[2]
The following is a calculated powder X-ray diffraction pattern of Pm3GePb2. It was derived from a crystal structure in Alexandria, relaxed with GGA-PBE, using Cu Kα, 1.54184 Å.

Structure:
```
Pm3GePb2
1.0
7.9494 -3.1555 0.0000
7.9494 3.1555 0.0000
-1.7825 0.0000 7.3356
Pm Ge Pb
6 2 4
Direct
0.0009 0.9991 0.7500
0.3494 0.3513 0.4255
0.3513 0.3494 0.9255
0.6487 0.6506 0.0745
0.6506 0.6487 0.5745
0.9991 0.0009 0.2500
0.4987 0.5013 0.2500
0.5013 0.4987 0.7500
0.1726 0.1749 0.0872
0.1749 0.1726 0.5872
0.8251 0.8274 0.4128
0.8274 0.8251 0.9128
```

Largest 10 diffraction maxima, by intensity, 10 to 90 degrees two-theta:
| 2θ (°) | d [Å] | I (rel.) |
| --- | --- | --- |
| 29.34 | 3.044 | 100 |
| 41.20 | 2.191 | 81 |
| 28.28 | 3.156 | 57 |
| 66.79 | 1.401 | 34 |
| 34.84 | 2.575 | 28 |
| 45.46 | 1.995 | 27 |
| 68.43 | 1.371 | 20 |
| 56.85 | 1.620 | 16 |
| 48.22 | 1.887 | 13 |
| 59.13 | 1.562 | 12 |

---

[3]
The following is a calculated powder X-ray diffraction pattern of K2RhCl2O2. It was derived from a crystal structure in Alexandria, relaxed with GGA-PBE, using Cu Kα, 1.54184 Å.

Structure:
```
K2RhCl2O2
1.0
-2.0762 2.0762 7.9008
2.0762 -2.0762 7.9008
2.0762 2.0762 -7.9008
K Rh Cl O
2 1 2 2
Direct
0.1193 0.1193 0.0000
0.8807 0.8807 0.0000
0.5000 0.5000 0.0000
0.3446 0.3446 0.0000
0.6554 0.6554 0.0000
0.0000 0.5000 0.5000
0.5000 0.0000 0.5000
```

Largest 10 diffraction maxima, by intensity, 10 to 90 degrees two-theta:
| 2θ (°) | d [Å] | I (rel.) |
| --- | --- | --- |
| 11.20 | 7.901 | 100 |
| 30.44 | 2.936 | 67 |
| 35.70 | 2.515 | 57 |
| 22.13 | 4.016 | 44 |
| 43.59 | 2.076 | 38 |
| 57.57 | 1.601 | 26 |
| 27.35 | 3.261 | 25 |
| 34.04 | 2.634 | 17 |
| 56.43 | 1.630 | 14 |
| 45.75 | 1.983 | 13 |

---

[4]
The following is a calculated powder X-ray diffraction pattern of BaYMg17. It was derived from a crystal structure in Alexandria, relaxed with GGA-PBE, using Cu Kα, 1.54184 Å.

Structure:
```
BaYMg17
1.0
5.2110 3.0086 5.1255
-5.2110 3.0086 5.1255
0.0000 -6.0171 5.1255
Ba Y Mg
1 1 17
Direct
0.0000 0.0000 0.0000
0.3356 0.3356 0.3356
0.0197 0.0197 0.4954
0.0197 0.4954 0.0197
0.1611 0.6659 0.6659
0.3178 0.3178 0.8093
0.3178 0.8093 0.3178
0.3671 0.6593 0.9647
0.3671 0.9647 0.6593
0.4954 0.0197 0.0197
0.5622 0.5622 0.5622
0.6593 0.3671 0.9647
0.6593 0.9647 0.3671
0.6659 0.1611 0.6659
0.6659 0.6659 0.1611
0.7589 0.7589 0.7589
0.8093 0.3178 0.3178
0.9647 0.3671 0.6593
0.9647 0.6593 0.3671
```

Largest 10 diffraction maxima, by intensity, 10 to 90 degrees two-theta:
| 2θ (°) | d [Å] | I (rel.) |
| --- | --- | --- |
| 34.57 | 2.595 | 100 |
| 24.36 | 3.654 | 63 |
| 34.42 | 2.605 | 55 |
| 29.69 | 3.009 | 47 |
| 35.01 | 2.563 | 27 |
| 17.02 | 5.211 | 24 |
| 49.58 | 1.838 | 22 |
| 30.55 | 2.926 | 21 |
| 35.32 | 2.541 | 20 |
| 49.92 | 1.827 | 20 |

---

[5]
The following is a calculated powder X-ray diffraction pattern of In5SnPb2. It was derived from a crystal structure in Alexandria, relaxed with GGA-PBE, using Cu Kα, 1.54184 Å.

Structure:
```
In5SnPb2
1.0
6.6785 0.0000 0.0000
0.0000 13.8361 0.0000
0.0000 0.0000 4.9351
In Sn Pb
10 2 4
Direct
0.0000 0.0000 0.0000
0.0121 0.2517 0.0000
0.2397 0.8733 0.5000
0.2603 0.3733 0.5000
0.4879 0.7517 0.0000
0.5000 0.5000 0.0000
0.5121 0.2483 0.0000
0.7397 0.6267 0.5000
0.7603 0.1267 0.5000
0.9879 0.7483 0.0000
0.0000 0.5000 0.0000
0.5000 0.0000 0.0000
0.2413 0.6235 0.5000
0.2587 0.1235 0.5000
0.7413 0.8765 0.5000
0.7587 0.3765 0.5000
```

Largest 10 diffraction maxima, by intensity, 10 to 90 degrees two-theta:
| 2θ (°) | d [Å] | I (rel.) |
| --- | --- | --- |
| 31.59 | 2.833 | 100 |
| 32.37 | 2.766 | 93 |
| 37.43 | 2.402 | 63 |
| 53.21 | 1.721 | 45 |
| 36.41 | 2.468 | 34 |
| 63.43 | 1.466 | 27 |
| 64.82 | 1.438 | 24 |
| 86.74 | 1.123 | 18 |
| 62.52 | 1.486 | 14 |
| 62.99 | 1.476 | 14 |

---

[6]
The following is a calculated powder X-ray diffraction pattern of ErPaGeO6. It was derived from a crystal structure in Alexandria, relaxed with GGA-PBE, using Cu Kα, 1.54184 Å.

Structure:
```
ErPaGeO6
1.0
5.3430 0.0000 0.0000
-2.6715 4.6272 0.0000
0.0000 0.0000 9.4876
Er Pa Ge O
2 2 2 12
Direct
0.3333 0.6667 0.2500
0.6667 0.3333 0.7500
0.0000 0.0000 0.0000
0.0000 0.0000 0.5000
0.3333 0.6667 0.7500
0.6667 0.3333 0.2500
0.0434 0.3594 0.6332
0.0434 0.6840 0.8668
0.3160 0.3594 0.8668
0.3160 0.9566 0.6332
0.3594 0.0434 0.1332
0.3594 0.3160 0.3668
0.6406 0.6840 0.6332
0.6406 0.9566 0.8668
0.6840 0.0434 0.3668
0.6840 0.6406 0.1332
0.9566 0.3160 0.1332
0.9566 0.6406 0.3668
```

Largest 10 diffraction maxima, by intensity, 10 to 90 degrees two-theta:
| 2θ (°) | d [Å] | I (rel.) |
| --- | --- | --- |
| 26.92 | 3.312 | 100 |
| 33.54 | 2.672 | 42 |
| 51.52 | 1.774 | 37 |
| 43.52 | 2.079 | 28 |
| 56.04 | 1.641 | 27 |
| 59.98 | 1.542 | 13 |
| 76.97 | 1.239 | 11 |
| 62.02 | 1.496 | 10 |
| 19.18 | 4.627 | 9 |
| 82.18 | 1.173 | 9 |

---

[7]
The following is a calculated powder X-ray diffraction pattern of MgW2S. It was derived from a crystal structure in Alexandria, relaxed with GGA-PBE, using Cu Kα, 1.54184 Å.

Structure:
```
MgW2S
1.0
-1.8717 1.8717 9.7248
1.8717 -1.8717 9.7248
1.8717 1.8717 -9.7248
Mg W S
2 4 2
Direct
0.0000 0.0000 0.0000
0.7500 0.2500 0.5000
0.1303 0.1250 0.5053
0.3750 0.8697 0.9947
0.6197 0.6250 0.4947
0.8750 0.3803 0.0053
0.2500 0.7500 0.5000
0.5000 0.5000 0.0000
```

Largest 10 diffraction maxima, by intensity, 10 to 90 degrees two-theta:
| 2θ (°) | d [Å] | I (rel.) |
| --- | --- | --- |
| 35.14 | 2.554 | 100 |
| 18.25 | 4.862 | 83 |
| 44.17 | 2.050 | 53 |
| 52.38 | 1.747 | 42 |
| 36.97 | 2.431 | 29 |
| 58.93 | 1.567 | 23 |
| 82.00 | 1.175 | 18 |
| 87.79 | 1.112 | 16 |
| 48.65 | 1.872 | 14 |
| 62.64 | 1.483 | 13 |

---

[8]
The following is a calculated powder X-ray diffraction pattern of Tl5SiSe4Cl2. It was derived from a crystal structure in Alexandria, relaxed with GGA-PBE, using Cu Kα, 1.54184 Å.

Structure:
```
Tl5SiSe4Cl2
1.0
9.1387 0.0000 0.0000
0.0000 5.0802 4.2628
0.0000 -5.0802 4.2628
Tl Si Se Cl
5 1 4 2
Direct
0.0000 0.0000 0.0000
0.2588 0.3222 0.6907
0.2588 0.6907 0.3222
0.7412 0.3222 0.6907
0.7412 0.6907 0.3222
0.5000 0.9264 0.9264
0.3115 0.1100 0.1100
0.5000 0.5963 0.9727
0.5000 0.9727 0.5963
0.6885 0.1100 0.1100
0.0000 0.5601 0.9833
0.0000 0.9833 0.5601
```

Largest 10 diffraction maxima, by intensity, 10 to 90 degrees two-theta:
| 2θ (°) | d [Å] | I (rel.) |
| --- | --- | --- |
| 28.36 | 3.148 | 100 |
| 33.74 | 2.657 | 83 |
| 23.77 | 3.744 | 61 |
| 28.64 | 3.117 | 59 |
| 20.84 | 4.263 | 59 |
| 34.60 | 2.592 | 41 |
| 49.28 | 1.849 | 33 |
| 41.48 | 2.177 | 29 |
| 50.29 | 1.814 | 29 |
| 39.44 | 2.285 | 26 |

---

[9]
The following is a calculated powder X-ray diffraction pattern of Tb6SmDy2Th. It was derived from a crystal structure in Alexandria, relaxed with GGA-PBE, using Cu Kα, 1.54184 Å.

Structure:
```
Tb6SmDy2Th
1.0
4.5577 -7.4876 0.0000
4.5577 7.4876 0.0000
-1.3602 0.0000 9.5626
Tb Sm Dy Th
12 2 4 2
Direct
0.0228 0.5724 0.1847
0.1207 0.7468 0.5591
0.2532 0.8793 0.9409
0.2975 0.5066 0.3807
0.4276 0.9772 0.3153
0.4934 0.7025 0.1193
0.5066 0.2975 0.8807
0.5724 0.0228 0.6847
0.7025 0.4934 0.6193
0.7468 0.1207 0.0591
0.8793 0.2532 0.4409
0.9772 0.4276 0.8153
0.0233 0.9767 0.2500
0.9767 0.0233 0.7500
0.1927 0.2939 0.0454
0.2939 0.1927 0.5454
0.7061 0.8073 0.4546
0.8073 0.7061 0.9546
0.4058 0.5942 0.7500
0.5942 0.4058 0.2500
```

Largest 10 diffraction maxima, by intensity, 10 to 90 degrees two-theta:
| 2θ (°) | d [Å] | I (rel.) |
| --- | --- | --- |
| 31.47 | 2.843 | 100 |
| 30.47 | 2.934 | 94 |
| 33.66 | 2.663 | 44 |
| 31.62 | 2.830 | 35 |
| 28.60 | 3.121 | 31 |
| 32.46 | 2.758 | 17 |
| 34.24 | 2.619 | 14 |
| 38.01 | 2.367 | 14 |
| 41.80 | 2.161 | 12 |
| 27.88 | 3.200 | 11 |